Calculated powder XRD pattern of LiEuMo2O8 for Cu Kα X-rays, from DFT lattice parameters and positions (PBE+U).
No peak broadening, texture or thermal motion is included.

```
data_LiEuMo2O8
_chemical_formula_sum 'Li2 Eu2 Mo4 O16'
_symmetry_space_group_name_H-M 'P 1 2/c 1'
_symmetry_Int_Tables_number 13
_cell_length_a 5.0431
_cell_length_b 6.1579
_cell_length_c 11.1528
_cell_angle_alpha 90.00
_cell_angle_beta 113.74
_cell_angle_gamma 90.00
loop_
_symmetry_equiv_pos_as_xyz
'x,y,z'
'-x,-y,-z'
'-x,y,-z+1/2'
'x,-y,z+1/2'
loop_
_atom_site_label
_atom_site_type_symbol
_atom_site_fract_x
_atom_site_fract_y
_atom_site_fract_z
_atom_site_occupancy
Li1 Li 0.0000 0.2306 0.2500 1
Eu1 Eu 0.5000 0.3164 0.7500 1
Mo1 Mo 0.2678 0.1755 0.0225 1
O1 O 0.1481 0.1036 0.5942 1
O2 O 0.2200 0.3591 0.1372 1
O3 O 0.2851 0.3557 0.8978 1
O4 O 0.3531 0.0880 0.3869 1
```

The 10 most intense peaks (15 to 90 degrees two-theta), low angle first:
Position (°2θ)	I/Imax
16.81	35
19.23	35
20.08	36
22.63	42
28.22	100
29.41	81
30.00	30
34.13	27
35.68	29
47.76	24